[1]
For SmMgTiS4, a DFT-relaxed cell (PBE, the Materials Project) gives the simulated PXRD pattern in this record (copper Kα).

Atomic structure:
```
data_SmMgTiS4
_symmetry_space_group_name_H-M 'I m m a'
_symmetry_Int_Tables_number 74
_symmetry_space_group_name_Hall '-I 2b 2'
_cell_length_a 7.516
_cell_length_b 7.867
_cell_length_c 10.883
_cell_angle_alpha 90.00
_cell_angle_beta 90.00
_cell_angle_gamma 90.00
loop_
_atom_site_label
_atom_site_type_symbol
_atom_site_fract_x
_atom_site_fract_y
_atom_site_fract_z
Sm1 Sm 0.000 0.000 0.000
Mg1 Mg 0.000 0.250 0.373
Ti1 Ti 0.250 0.250 0.750
S1 S 0.000 0.028 0.744
S2 S 0.246 0.250 0.520
```

Peak list (12 most intense, 2θ = 10–90°, in order of rising 2θ)
two_theta  Rel. int.
13.9  17
14.3  88
16.3  19
23.7  14
26.9  71
27.3  37
32.9  100
35.7  23
43.6  18
46.2  16
47.3  60
48.4  15

[2]
For Mg2Ni3MoS8, a DFT-relaxed cell (PBE, the Materials Project) gives the simulated PXRD pattern in this record (copper Kα).

Atomic structure:
```
data_Mg2Ni3MoS8
_symmetry_space_group_name_H-M 'R -3 m'
_symmetry_Int_Tables_number 166
_symmetry_space_group_name_Hall '-R 3 2"'
_cell_length_a 7.0979
_cell_length_b 7.0979
_cell_length_c 17.5562
_cell_angle_alpha 90.00
_cell_angle_beta 90.00
_cell_angle_gamma 120.00
loop_
_atom_site_label
_atom_site_type_symbol
_atom_site_fract_x
_atom_site_fract_y
_atom_site_fract_z
Mg1 Mg 0.0000 0.0000 0.1278
Ni1 Ni 0.0000 0.5000 0.0000
Mo1 Mo 0.0000 0.0000 0.5000
S1 S 0.0000 0.0000 0.2682
S2 S 0.0344 0.5172 0.2586
```

Peak list (12 most intense, 2θ = 10–90°, in order of rising 2θ)
two_theta  Rel. int.
15.1  17
15.3  92
29.3  25
29.4  61
35.7  100
46.7  12
46.9  43
51.1  43
51.5  46
64.2  14
75.5  12
86.7  11

[3]
For LiGdIn2, a DFT-relaxed cell (PBE, the Materials Project) gives the simulated PXRD pattern in this record (copper Kα).

Atomic structure:
```
data_LiGdIn2
_symmetry_space_group_name_H-M 'F m -3 m'
_symmetry_Int_Tables_number 225
_symmetry_space_group_name_Hall '-F 4 2 3'
_cell_length_a 7.321
_cell_length_b 7.321
_cell_length_c 7.321
_cell_angle_alpha 90.00
_cell_angle_beta 90.00
_cell_angle_gamma 90.00
loop_
_atom_site_label
_atom_site_type_symbol
_atom_site_fract_x
_atom_site_fract_y
_atom_site_fract_z
Li1 Li 0.000 0.000 0.000
Gd1 Gd 0.000 0.000 0.500
In1 In 0.250 0.250 0.250
```

Peak list (12 most intense, 2θ = 10–90°, in order of rising 2θ)
two_theta  Rel. int.
21.0  34
24.3  4
34.7  100
40.9  18
49.8  18
54.6  8
62.1  36
66.3  6
73.1  11
77.1  6
83.5  16
87.3  2

[4]
For CdCuSe2O6, a DFT-relaxed cell (PBE, the Materials Project) gives the simulated PXRD pattern in this record (copper Kα).

Atomic structure:
```
data_CdCuSe2O6
_symmetry_space_group_name_H-M 'P 1 21/c 1'
_symmetry_Int_Tables_number 14
_symmetry_space_group_name_Hall '-P 2ybc'
_cell_length_a 7.625
_cell_length_b 10.547
_cell_length_c 7.360
_cell_angle_alpha 90.00
_cell_angle_beta 94.40
_cell_angle_gamma 90.00
loop_
_atom_site_label
_atom_site_type_symbol
_atom_site_fract_x
_atom_site_fract_y
_atom_site_fract_z
Cd1 Cd 0.239 0.050 0.014
Cu1 Cu 0.184 0.082 0.477
Se1 Se 0.069 0.721 0.746
Se2 Se 0.446 0.608 0.197
O1 O 0.043 0.620 0.929
O2 O 0.048 0.613 0.567
O3 O 0.140 0.210 0.279
O4 O 0.287 0.011 0.712
O5 O 0.367 0.014 0.331
O6 O 0.487 0.638 0.425
```

Peak list (12 most intense, 2θ = 10–90°, in order of rising 2θ)
two_theta  Rel. int.
16.8  50
20.5  53
23.4  90
28.0  78
28.5  55
29.0  88
29.7  96
31.2  46
32.6  100
36.3  47
36.5  53
38.0  48

[5]
For KY, a DFT-relaxed cell (PBE, the Materials Project) gives the simulated PXRD pattern in this record (copper Kα).

Atomic structure:
```
data_KY
_symmetry_space_group_name_H-M 'P -6 m 2'
_symmetry_Int_Tables_number 187
_symmetry_space_group_name_Hall 'P -6 2'
_cell_length_a 3.6699
_cell_length_b 3.6699
_cell_length_c 7.1673
_cell_angle_alpha 90.00
_cell_angle_beta 90.00
_cell_angle_gamma 120.00
loop_
_atom_site_label
_atom_site_type_symbol
_atom_site_fract_x
_atom_site_fract_y
_atom_site_fract_z
K1 K 0.0000 0.0000 0.0000
Y1 Y 0.6667 0.3333 0.5000
```

Peak list (12 most intense, 2θ = 10–90°, in order of rising 2θ)
two_theta  Rel. int.
12.3  25
24.8  38
28.1  29
30.8  100
37.8  26
47.6  28
49.7  15
56.3  21
59.6  14
71.3  8
73.9  9
81.2  11

[6]
For Tl5Cu14Se10, a DFT-relaxed cell (PBE, the Materials Project) gives the simulated PXRD pattern in this record (copper Kα).

Atomic structure:
```
data_Tl5Cu14Se10
_symmetry_space_group_name_H-M 'C 1 2/m 1'
_symmetry_Int_Tables_number 12
_symmetry_space_group_name_Hall '-C 2y'
_cell_length_a 18.422
_cell_length_b 3.930
_cell_length_c 18.454
_cell_angle_alpha 90.00
_cell_angle_beta 118.07
_cell_angle_gamma 90.00
loop_
_atom_site_label
_atom_site_type_symbol
_atom_site_fract_x
_atom_site_fract_y
_atom_site_fract_z
Tl1 Tl 0.000 0.000 0.000
Tl2 Tl 0.113 0.000 0.599
Tl3 Tl 0.223 0.000 0.179
Cu1 Cu 0.024 0.000 0.216
Cu2 Cu 0.024 0.500 0.718
Cu3 Cu 0.081 0.500 0.872
Cu4 Cu 0.090 0.000 0.380
Cu5 Cu 0.136 0.500 0.314
Cu6 Cu 0.191 0.000 0.952
Cu7 Cu 0.196 0.500 0.470
Se1 Se 0.045 0.500 0.429
Se2 Se 0.070 0.500 0.168
Se3 Se 0.115 0.000 0.794
Se4 Se 0.163 0.500 0.019
Se5 Se 0.227 0.000 0.383
```

Peak list (12 most intense, 2θ = 10–90°, in order of rising 2θ)
two_theta  Rel. int.
27.4  53
29.1  29
30.1  56
30.5  100
34.2  97
38.2  67
39.1  37
46.2  53
48.3  41
50.4  43
50.7  39
53.0  29

[7]
For LaY, a DFT-relaxed cell (PBE, the Materials Project) gives the simulated PXRD pattern in this record (copper Kα).

Atomic structure:
```
data_LaY
_symmetry_space_group_name_H-M 'R 3 m'
_symmetry_Int_Tables_number 160
_symmetry_space_group_name_Hall 'R 3 -2"'
_cell_length_a 3.6753
_cell_length_b 3.6753
_cell_length_c 54.1491
_cell_angle_alpha 90.00
_cell_angle_beta 90.00
_cell_angle_gamma 120.00
loop_
_atom_site_label
_atom_site_type_symbol
_atom_site_fract_x
_atom_site_fract_y
_atom_site_fract_z
La1 La 0.0000 0.0000 0.0000
La2 La 0.0000 0.0000 0.2232
La3 La 0.0000 0.0000 0.7243
Y1 Y 0.0000 0.0000 0.1136
Y2 Y 0.0000 0.0000 0.4998
Y3 Y 0.0000 0.0000 0.6118
```

Peak list (12 most intense, 2θ = 10–90°, in order of rising 2θ)
two_theta  Rel. int.
28.2  28
28.8  31
29.7  52
31.0  100
32.6  79
38.8  15
49.6  37
52.5  24
55.6  15
58.9  43
59.7  15
83.0  16